# 1
Diffraction record for HgH3CSO3. The X-ray powder pattern is calculated, not measured: it uses DFT lattice parameters and positions (GGA-PBE) and λ = 1.5418 Å (Cu Kα).
No peak broadening, texture or thermal motion is included.

Crystal structure
Unit cell a=8.6121 b=8.6121 c=9.0044 alpha=118.77 beta=118.77 gamma=62.46
Element x y z (fractional)
Hg  0.0642  0.7278  0.6844
Hg  0.2722  0.9358  0.8156
Hg  0.7278  0.0642  0.1844
Hg  0.9358  0.2722  0.3156
H  0.0398  0.6271  0.2056
H  0.2283  0.5112  0.1168
H  0.2698  0.6403  0.3555
H  0.3597  0.7302  0.1445
H  0.3729  0.9602  0.2944
H  0.4888  0.7717  0.3832
H  0.5112  0.2283  0.6168
H  0.6271  0.0398  0.7056
H  0.6403  0.2698  0.8555
H  0.7302  0.3597  0.6445
H  0.7717  0.4888  0.8832
H  0.9602  0.3729  0.7944
C  0.1886  0.5544  0.2333
C  0.4456  0.8114  0.2667
C  0.5544  0.1886  0.7333
C  0.8114  0.4456  0.7667
S  0.2381  0.3486  0.2691
S  0.3486  0.2381  0.7691
S  0.6514  0.7619  0.2309
S  0.7619  0.6514  0.7309
O  0.1479  0.2220  0.1006
O  0.1480  0.4112  0.4076
O  0.2220  0.1479  0.6006
O  0.2760  0.4397  0.8448
O  0.4112  0.1480  0.9076
O  0.4397  0.2760  0.3448
O  0.5603  0.7240  0.6552
O  0.5888  0.8520  0.0924
O  0.7240  0.5603  0.1552
O  0.7780  0.8521  0.3994
O  0.8520  0.5888  0.5924
O  0.8521  0.7780  0.8994

Top 10 peaks for 5 to 70 degrees two-theta, most intense first:
2θ/deg  intensity
13.98  100.0
23.23  45.2
19.77  21.3
23.91  18.2
36.72  17.8
12.29  16.5
30.93  14.6
28.17  13.9
33.18  13.3
23.64  13.1

---

# 2
Diffraction record for KHoH8RuC6N6O4. The X-ray powder pattern is calculated, not measured: it uses DFT lattice parameters and positions (GGA-PBE) and λ = 1.5418 Å (Cu Kα).
No peak broadening, texture or thermal motion is included.

Crystal structure
Unit cell a=7.4588 b=7.4588 c=14.1904 alpha=90.00 beta=90.00 gamma=120.02
Element x y z (fractional)
K  0.0385  0.9615  0.7500
K  0.9615  0.0385  0.2500
Ho  0.3309  0.6691  0.7500
Ho  0.6691  0.3309  0.2500
H  0.1217  0.5326  0.1936
H  0.1217  0.5326  0.3064
H  0.2903  0.7097  0.0470
H  0.2903  0.7097  0.4530
H  0.3997  0.6003  0.0939
H  0.3997  0.6003  0.4061
H  0.4674  0.8783  0.1936
H  0.4674  0.8783  0.3064
H  0.5326  0.1217  0.6936
H  0.5326  0.1217  0.8064
H  0.6003  0.3997  0.5939
H  0.6003  0.3997  0.9061
H  0.7097  0.2903  0.5470
H  0.7097  0.2903  0.9530
H  0.8783  0.4674  0.6936
H  0.8783  0.4674  0.8064
Ru  0.0000  0.0000  0.0000
Ru  0.0000  0.0000  0.5000
C  0.1416  0.8584  0.5617
C  0.1416  0.8584  0.9383
C  0.1446  0.2429  0.5894
C  0.1446  0.2429  0.9106
C  0.2429  0.1446  0.0894
C  0.2429  0.1446  0.4106
C  0.7571  0.8554  0.5894
C  0.7571  0.8554  0.9106
C  0.8554  0.7571  0.0894
C  0.8554  0.7571  0.4106
C  0.8584  0.1416  0.0617
C  0.8584  0.1416  0.4383
N  0.2208  0.7792  0.6033
N  0.2208  0.7792  0.8967
N  0.2249  0.3781  0.6450
N  0.2249  0.3781  0.8550
N  0.3781  0.2249  0.1450
N  0.3781  0.2249  0.3550
N  0.6219  0.7751  0.6450
N  0.6219  0.7751  0.8550
N  0.7751  0.6219  0.1450
N  0.7751  0.6219  0.3550
N  0.7792  0.2208  0.1033
N  0.7792  0.2208  0.3967
O  0.0360  0.4632  0.2500
O  0.3258  0.6742  0.1083
O  0.3258  0.6742  0.3917
O  0.4632  0.0360  0.7500
O  0.5368  0.9640  0.2500
O  0.6742  0.3258  0.6083
O  0.6742  0.3258  0.8917
O  0.9640  0.5368  0.7500

Top 10 peaks for 5 to 70 degrees two-theta, most intense first:
2θ/deg  intensity
15.07  100.0
18.58  85.7
23.86  75.0
34.91  47.0
33.60  39.5
23.31  30.7
37.38  26.5
39.02  21.6
41.63  19.3
49.52  19.1